Entry 1:
Starting from a crystal structure in Alexandria, relaxed with GGA-PBE, the PXRD pattern of KNdCuF6 was calculated for a wavelength of 1.5418 Å.
Neutral-atom scattering factors, no anomalous dispersion.

Most intense lines, 15 to 90 degrees two-theta, by intensity:
2θ (°)  d (Å)  I/Imax  index
24.02  3.705  100  1 0 2
45.64  1.988  73  1 1 4
16.45  5.389  70  0 0 2
30.37  2.944  58  1 1 0
34.71  2.584  56  1 1 2
17.39  5.101  30  1 0 0
53.93  1.700  29  3 0 0
50.26  1.815  25  2 1 2
39.07  2.305  23  2 0 2
19.25  4.611  21  1 0 1
60.36  1.534  15  2 -1 6
56.77  1.622  15  3 0 2

Crystal structure
Lattice parameters (Å, degrees): 5.8901 5.8901 10.7780 90.00 90.00 120.00
Space group P-31c (No. 163)
Unique sites:
K (0.0000, 0.0000, 0.0000)
Nd (0.3333, 0.6667, 0.2500)
Cu (0.3333, 0.6667, 0.7500)
F (0.0296, 0.3862, 0.6444)

***

Entry 2:
Starting from a crystal structure in Alexandria, relaxed with GGA-PBE, the PXRD pattern of K2NdCu3F12 was calculated for a wavelength of 1.5418 Å.
Neutral-atom scattering factors, no anomalous dispersion.

Most intense lines, 15 to 90 degrees two-theta, by intensity:
2θ (°)  d (Å)  I/Imax  index
28.90  3.089  100  1 1 3
29.36  3.042  73  2 0 2
47.85  1.901  69  2 2 0
44.69  2.028  41  0 3 3
31.22  2.865  33  0 1 5
27.67  3.224  30  0 2 1
53.86  1.702  28  2 0 8
33.81  2.651  25  0 0 6
42.06  2.148  23  1 0 7
46.32  1.960  23  1 2 5
37.88  2.375  23  1 2 2
59.87  1.545  21  2 2 6

Crystal structure
Lattice parameters (Å, degrees): 7.6023 7.6023 15.9086 90.00 90.00 120.00
Space group R-3m (No. 166, hexagonal axes)
Unique sites:
K (0.0000, 0.0000, 0.1130)
Nd (0.0000, 0.0000, 0.5000)
Cu (0.0000, 0.5000, 0.0000)
F (0.0226, 0.5113, 0.8795)
F (0.0886, 0.5443, 0.3085)

***

Entry 3:
Starting from a crystal structure in Alexandria, relaxed with GGA-PBE, the PXRD pattern of KCu3P3O8F6 was calculated for a wavelength of 1.5418 Å.
Neutral-atom scattering factors, no anomalous dispersion.

Most intense lines, 15 to 90 degrees two-theta, by intensity:
2θ (°)  d (Å)  I/Imax  index
25.32  3.517  100  1 1 -2
26.31  3.387  66  2 2 -1
26.54  3.358  57  5 1 -1
32.65  2.743  52  0 2 2
18.15  4.887  43  3 1 0
28.57  3.124  39  6 0 0
29.70  3.008  36  4 2 0
35.15  2.553  35  4 2 -2
54.66  1.679  35  10 2 -2
33.55  2.671  34  4 2 1
45.04  2.013  25  9 1 0
22.99  3.868  25  2 0 -2

Crystal structure
Lattice parameters (Å, degrees): 19.242 7.845 7.871 90.00 103.07 90.00
Space group C2/c (No. 15)
Unique sites:
K (0.000, 0.175, 0.250)
Cu (0.164, 0.470, 0.316)
Cu (0.250, 0.250, 0.000)
P (0.000, 0.377, 0.750)
P (0.174, 0.180, 0.593)
O (0.061, 0.475, 0.712)
O (0.132, 0.269, 0.430)
O (0.195, 0.296, 0.754)
O (0.234, 0.064, 0.567)
F (0.026, 0.243, 0.901)
F (0.114, 0.054, 0.637)
F (0.172, 0.352, 0.072)

***

Entry 4:
Starting from a crystal structure in Alexandria, relaxed with GGA-PBE, the PXRD pattern of K2ZnCu3P3O12F was calculated for a wavelength of 1.5418 Å.
Neutral-atom scattering factors, no anomalous dispersion.

Most intense lines, 15 to 90 degrees two-theta, by intensity:
2θ (°)  d (Å)  I/Imax  index
30.80  2.903  100  1 2 -2
16.29  5.440  77  0 2 1
36.17  2.483  65  2 0 0
28.90  3.089  56  1 1 -2
30.24  2.955  55  1 4 0
32.93  2.720  51  0 4 2
37.80  2.380  48  0 5 2
29.34  3.044  47  1 1 2
32.15  2.784  45  1 4 -1
17.86  4.967  36  1 0 0
31.21  2.866  36  1 2 2
32.38  2.765  34  0 5 1

Crystal structure
Lattice parameters (Å, degrees): 4.967 14.708 8.086 90.00 90.89 90.00
Space group P2_1/m (No. 11)
Unique sites:
K (0.000, 0.000, 0.000)
K (0.047, 0.250, 0.372)
Zn (0.477, 0.750, 0.945)
Cu (0.000, 0.000, 0.500)
Cu (0.432, 0.635, 0.350)
P (0.014, 0.250, 0.835)
P (0.499, 0.068, 0.301)
O (0.075, 0.662, 0.259)
O (0.091, 0.750, 0.985)
O (0.196, 0.578, 0.654)
O (0.329, 0.250, 0.841)
O (0.330, 0.080, 0.466)
O (0.412, 0.142, 0.178)
O (0.436, 0.525, 0.221)
F (0.447, 0.750, 0.477)